# 1
# GeBiS4
Computed PXRD pattern, Cu Kα (λ = 1.5418 Å). Input: a DFT-relaxed cell (GGA-PBE, Alexandria).
Intensities are scaled so that the largest is 100.

Main lines, by angle (2θ from 10° to 90°):
2θ (°), intensity
11.11, 100
17.62, 48
19.40, 64
20.60, 60
20.83, 30
23.25, 45
26.92, 34
33.80, 38

Crystal structure
```
GeBiS4
1.0
8.5705 -2.6521 0.0000
8.5705 2.6521 0.0000
-3.4351 0.0000 8.6213
Ge Bi S
2 2 8
Direct
0.1260 0.1260 0.2767
0.8740 0.8740 0.7233
0.2159 0.2159 0.7552
0.7841 0.7841 0.2448
0.0079 0.0079 0.8939
0.0929 0.0929 0.4864
0.2275 0.2275 0.1772
0.3450 0.3450 0.6912
0.6550 0.6550 0.3088
0.7725 0.7725 0.8228
0.9071 0.9071 0.5136
0.9921 0.9921 0.1061
```

---

# 2
# CsZn8Sb6
Computed PXRD pattern, Cu Kα (λ = 1.5418 Å). Input: a DFT-relaxed cell (GGA-PBE, Alexandria).
Intensities are scaled so that the largest is 100.

Main lines, by angle (2θ from 10° to 90°):
2θ (°), intensity
12.00, 25
24.13, 43
25.14, 100
28.82, 26
40.57, 67
41.84, 60
47.76, 24
48.88, 39

Crystal structure
```
CsZn8Sb6
1.0
5.7122 3.2979 3.6883
-5.7122 3.2979 3.6883
0.0000 -6.5959 3.6883
Cs Zn Sb
1 8 6
Direct
0.0000 0.0000 0.0000
0.1728 0.6083 0.5183
0.3258 0.3258 0.3258
0.3917 0.4817 0.8272
0.4817 0.8272 0.3917
0.5183 0.1728 0.6083
0.6083 0.5183 0.1728
0.6742 0.6742 0.6742
0.8272 0.3917 0.4817
0.1339 0.2493 0.5845
0.2492 0.5845 0.1339
0.4155 0.8661 0.7507
0.5845 0.1339 0.2493
0.7507 0.4155 0.8661
0.8661 0.7507 0.4155
```

---

# 3
# Fe15Co
Computed PXRD pattern, Cu Kα (λ = 1.5418 Å). Input: a DFT-relaxed cell (GGA-PBE, Alexandria).
Intensities are scaled so that the largest is 100.

Main lines, by angle (2θ from 10° to 90°):
2θ (°), intensity
42.22, 26
46.12, 26
48.41, 100
64.30, 13
77.19, 15
87.13, 16

Crystal structure
```
Fe15Co
1.0
4.9433 0.0000 0.0000
-2.4716 4.2810 0.0000
0.0000 0.0000 7.8723
Fe Co
15 1
Direct
0.0000 0.0000 0.0000
0.3333 0.6667 0.2487
0.3333 0.6667 0.7513
0.3360 0.1680 0.2493
0.3360 0.1680 0.7507
0.5015 0.0031 0.0000
0.5015 0.4985 0.0000
0.5025 0.0050 0.5000
0.5025 0.4975 0.5000
0.8320 0.1680 0.2493
0.8320 0.1680 0.7507
0.8320 0.6640 0.2493
0.8320 0.6640 0.7507
0.9950 0.4975 0.5000
0.9969 0.4985 0.0000
0.0000 0.0000 0.5000
```

---

# 4
# Tb3TePCl
Computed PXRD pattern, Cu Kα (λ = 1.5418 Å). Input: a DFT-relaxed cell (GGA-PBE, Alexandria).
Intensities are scaled so that the largest is 100.

Main lines, by angle (2θ from 10° to 90°):
2θ (°), intensity
26.74, 15
27.93, 34
28.83, 22
30.16, 19
30.32, 100
40.45, 17
42.90, 24
44.65, 19

Crystal structure
```
Tb3TePCl
1.0
8.6063 0.0000 0.0000
0.0000 4.0587 0.0000
-0.7861 0.0000 9.5834
Tb Te P Cl
6 2 2 2
Direct
0.0897 0.2500 0.3512
0.1572 0.2500 0.9302
0.3592 0.7500 0.6361
0.6408 0.2500 0.3639
0.8428 0.7500 0.0698
0.9103 0.7500 0.6488
0.3615 0.7500 0.3127
0.6385 0.2500 0.6873
0.1363 0.2500 0.6418
0.8637 0.7500 0.3582
0.3687 0.7500 0.9240
0.6313 0.2500 0.0760
```

---

# 5
# PuIr4
Computed PXRD pattern, Cu Kα (λ = 1.5418 Å). Input: a DFT-relaxed cell (GGA-PBE, Alexandria).
Intensities are scaled so that the largest is 100.

Main lines, by angle (2θ from 10° to 90°):
2θ (°), intensity
18.62, 32
26.45, 28
32.55, 55
37.76, 100
42.42, 16
54.47, 71
64.90, 23
68.17, 24

Crystal structure
```
PuIr4
1.0
4.7650 0.0000 0.0000
0.0000 4.7650 0.0000
0.0000 0.0000 4.7650
Pu Ir
1 4
Direct
0.0000 0.0000 0.0000
0.0000 0.0000 0.5000
0.0000 0.5000 0.0000
0.5000 0.0000 0.0000
0.5000 0.5000 0.5000
```

---

# 6
# CeTmZnNi
Computed PXRD pattern, Cu Kα (λ = 1.5418 Å). Input: a DFT-relaxed cell (GGA-PBE, Alexandria).
Intensities are scaled so that the largest is 100.

Main lines, by angle (2θ from 10° to 90°):
2θ (°), intensity
25.62, 18
36.55, 100
45.17, 6
52.65, 17
59.44, 8
65.79, 35
77.67, 11
89.03, 16

Crystal structure
```
CeTmZnNi
1.0
6.9542 0.0000 0.0000
0.0000 6.9542 0.0000
0.0000 0.0000 6.9542
Ce Tm Zn Ni
4 4 4 4
Direct
0.0000 0.0000 0.0000
0.0000 0.5000 0.5000
0.5000 0.0000 0.5000
0.5000 0.5000 0.0000
0.0000 0.0000 0.5000
0.0000 0.5000 0.0000
0.5000 0.0000 0.0000
0.5000 0.5000 0.5000
0.2500 0.2500 0.7500
0.2500 0.7500 0.2500
0.7500 0.2500 0.2500
0.7500 0.7500 0.7500
0.2500 0.2500 0.2500
0.2500 0.7500 0.7500
0.7500 0.2500 0.7500
0.7500 0.7500 0.2500
```

---

# 7
# ZnGa4
Computed PXRD pattern, Cu Kα (λ = 1.5418 Å). Input: a DFT-relaxed cell (GGA-PBE, Alexandria).
Intensities are scaled so that the largest is 100.

Main lines, by angle (2θ from 10° to 90°):
2θ (°), intensity
35.45, 34
36.44, 33
39.99, 100
51.75, 22
66.70, 19
67.97, 20
74.94, 10
86.32, 14

Crystal structure
```
ZnGa4
1.0
0.0000 2.4653 12.6623
1.4643 0.0000 12.6623
1.4643 2.4653 0.0000
Zn Ga
1 4
Direct
0.0000 0.0000 0.0000
0.1976 0.1976 0.8024
0.4042 0.4042 0.5958
0.5958 0.5958 0.4042
0.8024 0.8024 0.1976
```

---

# 8
# LiLa5Bi3
Computed PXRD pattern, Cu Kα (λ = 1.5418 Å). Input: a DFT-relaxed cell (GGA-PBE, Alexandria).
Intensities are scaled so that the largest is 100.

Main lines, by angle (2θ from 10° to 90°):
2θ (°), intensity
26.32, 23
30.50, 43
31.20, 100
31.99, 86
41.26, 24
45.29, 26
56.04, 28
63.85, 26

Crystal structure
```
LiLa5Bi3
1.0
9.9317 0.0000 0.0000
-4.9659 8.6011 0.0000
0.0000 0.0000 6.7719
Li La Bi
2 10 6
Direct
0.0000 0.0000 0.0000
0.0000 0.0000 0.5000
0.0000 0.2874 0.2500
0.0000 0.7126 0.7500
0.2874 0.0000 0.2500
0.2874 0.2874 0.7500
0.3333 0.6667 0.0000
0.3333 0.6667 0.5000
0.6667 0.3333 0.0000
0.6667 0.3333 0.5000
0.7126 0.0000 0.7500
0.7126 0.7126 0.2500
0.0000 0.3687 0.7500
0.0000 0.6313 0.2500
0.3687 0.0000 0.7500
0.3687 0.3687 0.2500
0.6313 0.0000 0.2500
0.6313 0.6313 0.7500
```

---

# 9
# Tm6Ga2Rh
Computed PXRD pattern, Cu Kα (λ = 1.5418 Å). Input: a DFT-relaxed cell (GGA-PBE, Alexandria).
Intensities are scaled so that the largest is 100.

Main lines, by angle (2θ from 10° to 90°):
2θ (°), intensity
29.60, 28
29.77, 26
32.38, 100
35.01, 48
35.17, 69
35.30, 47
37.00, 49
59.71, 22

Crystal structure
```
Tm6Ga2Rh
1.0
-4.7376 4.7742 4.8588
4.7376 -4.7742 4.8588
4.7376 4.7742 -4.8588
Tm Ga Rh
12 4 2
Direct
0.0435 0.2152 0.8283
0.2524 0.5795 0.3271
0.2524 0.9252 0.6729
0.2658 0.3115 0.5773
0.2658 0.6885 0.9542
0.3870 0.2152 0.1717
0.6130 0.7848 0.8283
0.7342 0.3115 0.0458
0.7342 0.6885 0.4227
0.7476 0.0748 0.3271
0.7476 0.4205 0.6729
0.9565 0.7848 0.1717
0.0000 0.1416 0.1416
0.0000 0.8584 0.8584
0.3710 0.0000 0.3710
0.6290 0.0000 0.6290
0.0000 0.5000 0.5000
0.5000 0.5000 0.0000
```

---

# 10
# Pr7AgS5
Computed PXRD pattern, Cu Kα (λ = 1.5418 Å). Input: a DFT-relaxed cell (GGA-PBE, Alexandria).
Intensities are scaled so that the largest is 100.

Main lines, by angle (2θ from 10° to 90°):
2θ (°), intensity
26.91, 43
28.41, 100
29.04, 34
30.28, 89
31.37, 67
43.18, 24
43.91, 34
44.24, 31

Crystal structure
```
Pr7AgS5
1.0
4.0944 0.0000 0.0000
0.0000 24.7900 0.0000
-2.0366 0.0000 6.8005
Pr Ag S
14 2 10
Direct
0.0305 0.2500 0.0597
0.1361 0.5367 0.2732
0.1361 0.9633 0.2732
0.3193 0.1732 0.6380
0.3193 0.3268 0.6380
0.4109 0.6055 0.8225
0.4109 0.8945 0.8225
0.5891 0.1055 0.1775
0.5891 0.3945 0.1775
0.6807 0.6732 0.3620
0.6807 0.8268 0.3620
0.8639 0.0367 0.7268
0.8639 0.4633 0.7268
0.9695 0.7500 0.9403
0.2960 0.7500 0.5936
0.7040 0.2500 0.4064
0.0445 0.6414 0.0897
0.0445 0.8586 0.0897
0.2266 0.0700 0.4523
0.2266 0.4300 0.4523
0.5000 0.0000 0.0000
0.5000 0.5000 0.0000
0.7734 0.5700 0.5477
0.7734 0.9300 0.5477
0.9555 0.1414 0.9103
0.9555 0.3586 0.9103
```

---

# 11
# PrPuAsO2
Computed PXRD pattern, Cu Kα (λ = 1.5418 Å). Input: a DFT-relaxed cell (GGA-PBE, Alexandria).
Intensities are scaled so that the largest is 100.

Main lines, by angle (2θ from 10° to 90°):
2θ (°), intensity
14.05, 12
24.00, 26
31.38, 100
32.64, 42
43.75, 15
46.84, 21
55.05, 18
57.46, 37

Crystal structure
```
PrPuAsO2
1.0
3.8795 0.0000 0.0000
0.0000 3.8795 0.0000
0.0000 0.0000 12.6081
Pr Pu As O
2 2 2 4
Direct
0.0000 0.0000 0.0000
0.5000 0.5000 0.5000
0.0000 0.0000 0.2990
0.5000 0.5000 0.7990
0.0000 0.0000 0.6523
0.5000 0.5000 0.1523
0.0000 0.5000 0.3912
0.0000 0.5000 0.8912
0.5000 0.0000 0.3912
0.5000 0.0000 0.8912
```

---

# 12
# Pu3InHg5
Computed PXRD pattern, Cu Kα (λ = 1.5418 Å). Input: a DFT-relaxed cell (GGA-PBE, Alexandria).
Intensities are scaled so that the largest is 100.

Main lines, by angle (2θ from 10° to 90°):
2θ (°), intensity
33.69, 100
34.07, 86
44.25, 16
48.67, 30
60.25, 18
60.50, 29
68.33, 27
88.09, 13

Crystal structure
```
Pu3InHg5
1.0
9.2149 0.0000 0.0000
-4.6074 7.9803 0.0000
0.0000 0.0000 6.4109
Pu In Hg
6 2 10
Direct
0.0000 0.3553 0.2500
0.0000 0.6447 0.7500
0.3553 0.0000 0.2500
0.3553 0.3553 0.7500
0.6447 0.0000 0.7500
0.6447 0.6447 0.2500
0.0000 0.0000 0.0000
0.0000 0.0000 0.5000
0.0000 0.3086 0.7500
0.0000 0.6914 0.2500
0.3086 0.0000 0.7500
0.3086 0.3086 0.2500
0.3333 0.6667 0.0000
0.3333 0.6667 0.5000
0.6667 0.3333 0.0000
0.6667 0.3333 0.5000
0.6914 0.0000 0.2500
0.6914 0.6914 0.7500
```